Starting from a DFT-relaxed cell (GGA+U, Alexandria), the PXRD pattern of Li4MnCr5O12 was simulated for CuKα.
Neutral-atom scattering factors, no anomalous dispersion.

Atomic structure:
```
Li4MnCr5O12
1.0
2.537 -4.392 0.000
2.537 4.392 0.000
-1.354 0.000 10.081
Li Mn Cr O
4 1 5 12
direct
0.071 0.744 0.744
0.256 0.929 0.256
0.744 0.071 0.744
0.929 0.256 0.256
0.000 0.000 0.500
0.168 0.832 0.000
0.336 0.664 0.500
0.500 0.500 0.000
0.664 0.336 0.500
0.832 0.168 0.000
0.020 0.350 0.604
0.127 0.127 0.895
0.186 0.529 0.107
0.285 0.285 0.394
0.350 0.020 0.604
0.471 0.814 0.893
0.529 0.186 0.107
0.650 0.980 0.396
0.715 0.715 0.606
0.814 0.471 0.893
0.873 0.873 0.105
0.980 0.650 0.396
```

Main lines, by angle (2θ = 15–90°):
2θ = 17.60°, d = 5.040 Å, I = 100; 2θ = 35.68°, d = 2.517 Å, I = 11; 2θ = 36.01°, d = 2.494 Å, I = 15; 2θ = 37.21°, d = 2.416 Å, I = 14; 2θ = 42.24°, d = 2.139 Å, I = 8; 2θ = 43.30°, d = 2.090 Å, I = 16; 2θ = 46.34°, d = 1.959 Å, I = 17; 2θ = 47.56°, d = 1.912 Å, I = 8; 2θ = 56.42°, d = 1.631 Å, I = 10; 2θ = 63.55°, d = 1.464 Å, I = 15